For Li3V2O4F4, a cell relaxed with GGA+U gives the simulated powder X-ray diffraction pattern in this record (Cu Kα).
Intensities are scaled so that the largest is 100.

Main lines, by angle (2θ from 10° to 90°):
- 11.7 deg, I = 100
- 21.2 deg, I = 77
- 21.4 deg, I = 76
- 23.5 deg, I = 26
- 24.9 deg, I = 35
- 25.3 deg, I = 69
- 29.5 deg, I = 34
- 29.7 deg, I = 57
- 39.7 deg, I = 44
- 41.1 deg, I = 36

Structure:
a b c (Å): 4.9994 7.3155 7.7319
angles (deg): 101.76 90.10 90.98
Fractional positions:
Li 0.0000 0.0000 0.0000
Li 0.0005 0.4538 0.9847
Li 0.4657 0.3495 0.5093
Li 0.4852 0.6628 0.2487
Li 0.5159 0.1114 0.2158
Li 0.9800 0.7843 0.6925
V 0.0052 0.9915 0.4490
V 0.4725 0.6469 0.7815
V 0.4969 0.1421 0.7716
V 0.9593 0.4859 0.4439
O 0.1115 0.7675 0.4328
O 0.1674 0.5150 0.6370
O 0.2932 0.1176 0.5514
O 0.3455 0.8664 0.7904
O 0.6000 0.3696 0.7800
O 0.6800 0.6053 0.5576
O 0.8002 0.0094 0.6383
O 0.8344 0.2619 0.4154
F 0.1618 0.0170 0.2173
F 0.1726 0.2099 0.9119
F 0.2928 0.4148 0.3059
F 0.3221 0.6151 0.0067
F 0.6668 0.1179 0.9961
F 0.6912 0.9097 0.2901
F 0.8137 0.7318 0.8997
F 0.8243 0.5160 0.2130